(1)
Theoretical X-ray powder pattern of CeAgAs2 for Cu Kα, 1.54184 Å, from a structure optimized by DFT (GGA-PBE).

```
CeAgAs2
1.0
5.7671 0.0000 0.0000
0.0000 20.2558 0.0000
0.0000 0.0000 5.8175
Ce Ag As
8 8 16
Direct
0.0090 0.1094 0.2500 Ce
0.0090 0.3906 0.7500 Ce
0.4902 0.6129 0.7500 Ce
0.4902 0.8871 0.2500 Ce
0.5098 0.1129 0.7500 Ce
0.5098 0.3871 0.2500 Ce
0.9910 0.6094 0.2500 Ce
0.9910 0.8906 0.7500 Ce
0.2362 0.7500 0.0000 Ag
0.2362 0.7500 0.5000 Ag
0.2620 0.2500 0.0000 Ag
0.2620 0.2500 0.5000 Ag
0.7380 0.7500 0.0000 Ag
0.7380 0.7500 0.5000 Ag
0.7638 0.2500 0.0000 Ag
0.7638 0.2500 0.5000 Ag
0.0110 0.1563 0.7500 As
0.0110 0.3437 0.2500 As
0.2666 0.0002 0.5047 As
0.2666 0.0002 0.9953 As
0.2666 0.4998 0.0047 As
0.2666 0.4998 0.4953 As
0.4896 0.6569 0.2500 As
0.4896 0.8431 0.7500 As
0.5104 0.1569 0.2500 As
0.5104 0.3431 0.7500 As
0.7334 0.9998 0.0047 As
0.7334 0.9998 0.4953 As
0.7334 0.5002 0.5047 As
0.7334 0.5002 0.9953 As
0.9890 0.6563 0.7500 As
0.9890 0.8437 0.2500 As
```

The 10 most intense peaks (2θ = 10–80°), by intensity:
2θ 35.59, I 100
2θ 35.84, I 96
2θ 44.23, I 62
2θ 35.45, I 31
2θ 57.92, I 29
2θ 28.02, I 28
2θ 76.01, I 25
2θ 41.95, I 25
2θ 75.60, I 21
2θ 23.43, I 18

=====

(2)
Theoretical X-ray powder pattern of Hg for Cu Kα, 1.54184 Å, from a structure optimized by DFT (GGA-PBE).

```
Hg
1.0
10.5185 0.0000 0.0000
0.0000 11.4865 6.6387
0.0000 -11.4865 6.6387
Hg
34
Direct
0.0000 0.1264 0.1264 Hg
0.0002 0.1266 0.8765 Hg
0.0000 0.6266 0.6266 Hg
0.0001 0.6266 0.8769 Hg
0.9998 0.8765 0.1266 Hg
0.9999 0.8769 0.6266 Hg
0.0021 0.3781 0.1275 Hg
0.0021 0.6258 0.1274 Hg
0.0026 0.6255 0.3745 Hg
0.2500 0.0432 0.2098 Hg
0.2500 0.0428 0.7097 Hg
0.2500 0.3769 0.3760 Hg
0.2500 0.5431 0.7095 Hg
0.2500 0.8754 0.3759 Hg
0.4974 0.6255 0.3745 Hg
0.4979 0.3781 0.1275 Hg
0.4979 0.6258 0.1274 Hg
0.5000 0.1264 0.1264 Hg
0.4998 0.1266 0.8765 Hg
0.5000 0.6266 0.6266 Hg
0.4999 0.6266 0.8769 Hg
0.5002 0.8765 0.1266 Hg
0.5001 0.8769 0.6266 Hg
0.5021 0.1275 0.3781 Hg
0.5021 0.1274 0.6258 Hg
0.5026 0.3745 0.6255 Hg
0.7500 0.2098 0.0432 Hg
0.7500 0.3760 0.3769 Hg
0.7500 0.3759 0.8754 Hg
0.7500 0.7095 0.5431 Hg
0.7500 0.7097 0.0428 Hg
0.9974 0.3745 0.6255 Hg
0.9979 0.1275 0.3781 Hg
0.9979 0.1274 0.6258 Hg
```

The 10 most intense peaks (2θ = 10–80°), by intensity:
2θ 35.61, I 100
2θ 31.13, I 84
2θ 31.89, I 82
2θ 46.83, I 55
2θ 22.92, I 46
2θ 34.10, I 41
2θ 16.86, I 37
2θ 66.66, I 36
2θ 15.42, I 34
2θ 55.39, I 31